1.
Diffraction record for MgTe4Mo4Se2S2. The X-ray diffraction stick pattern is simulated, not measured: it uses DFT lattice parameters and positions (PBE) and Cu Kα.
Kinematic intensities with the Lorentz-polarization factor, no thermal factor.

Structure:
```
MgTe4Mo4Se2S2
1.0
2.958 -1.708 0.000
2.958 1.708 0.000
-0.128 0.000 42.426
Mg Te Mo Se S
1 4 4 2 2
Cartesian
0.000 0.000 0.000
1.915 0.000 10.526
1.916 0.000 14.257
5.804 0.000 29.038
5.804 0.000 32.773
1.938 0.000 4.577
1.860 0.000 30.905
5.860 0.000 12.392
5.787 0.000 38.675
5.882 0.000 2.927
5.883 0.000 6.215
1.844 0.000 37.197
1.842 0.000 40.186
```

Top 12 peaks for 2θ from 15° to 90°, sorted by position:
2θ (°), I_rel
18.82, 14
30.23, 85
30.51, 18
32.04, 19
34.72, 100
37.04, 42
41.17, 88
41.25, 21
42.76, 15
53.67, 47
54.83, 16
69.82, 15

---

2.
Diffraction record for MgTe2Mo3Se2S2. The X-ray diffraction stick pattern is simulated, not measured: it uses DFT lattice parameters and positions (PBE) and Cu Kα.
Kinematic intensities with the Lorentz-polarization factor, no thermal factor.

Structure:
```
MgTe2Mo3Se2S2
1.0
3.342 0.000 0.000
-1.671 2.895 0.000
0.000 0.000 30.962
Mg Te Mo Se S
1 2 3 2 2
Cartesian
0.000 0.000 0.000
1.803 2.573 20.235
1.803 2.573 24.022
0.132 1.608 7.802
0.132 1.608 22.130
1.803 2.573 14.963
0.132 1.608 13.298
0.132 1.608 16.628
1.803 2.573 6.287
1.803 2.573 9.318
```

Top 12 peaks for 2θ from 15° to 90°, sorted by position:
2θ (°), I_rel
30.89, 60
31.03, 36
33.04, 22
35.56, 90
37.12, 100
40.75, 18
42.76, 46
44.92, 66
54.96, 59
56.32, 16
68.17, 17
77.52, 23

---

3.
Diffraction record for MgTe4Mo4Se2S2. The X-ray diffraction stick pattern is simulated, not measured: it uses DFT lattice parameters and positions (PBE) and Cu Kα.
Kinematic intensities with the Lorentz-polarization factor, no thermal factor.

Structure:
```
MgTe4Mo4Se2S2
1.0
3.403 0.000 0.000
-1.702 2.947 0.000
0.000 0.000 43.440
Mg Te Mo Se S
1 4 4 2 2
Cartesian
0.000 0.000 0.000
0.000 1.965 18.407
0.000 1.965 22.151
1.702 0.982 10.076
1.702 0.982 13.819
0.000 1.965 11.948
0.000 1.965 38.944
1.702 0.982 4.017
1.702 0.982 20.278
1.702 0.982 37.302
1.702 0.982 40.609
0.000 1.965 2.494
0.000 1.965 5.500
```

Top 12 peaks for 2θ from 15° to 90°, sorted by position:
2θ (°), I_rel
30.35, 61
30.61, 14
32.07, 22
34.63, 81
38.10, 23
40.83, 100
42.29, 22
43.78, 16
53.89, 42
54.98, 19
69.75, 20
71.84, 17

---

4.
Diffraction record for MgTe4Mo4Se2S2. The X-ray diffraction stick pattern is simulated, not measured: it uses DFT lattice parameters and positions (PBE) and Cu Kα.
Kinematic intensities with the Lorentz-polarization factor, no thermal factor.

Structure:
```
MgTe4Mo4Se2S2
1.0
3.400 0.000 0.000
-1.700 2.945 0.000
0.000 0.000 45.138
Mg Te Mo Se S
1 4 4 2 2
Cartesian
0.000 0.000 0.000
0.000 1.963 11.313
0.000 1.963 15.059
1.700 0.982 2.989
1.700 0.982 6.748
0.000 1.963 4.880
0.000 1.963 32.844
1.700 0.982 13.185
1.700 0.982 41.042
1.700 0.982 31.197
1.700 0.982 34.492
0.000 1.963 39.554
0.000 1.963 42.564
```

Top 12 peaks for 2θ from 15° to 90°, sorted by position:
2θ (°), I_rel
30.37, 57
30.62, 20
31.97, 25
34.35, 71
36.43, 28
40.15, 100
41.53, 24
42.97, 20
52.73, 11
53.94, 43
54.95, 18
69.32, 19

---

5.
Diffraction record for MgTe2Mo4Se4S2. The X-ray diffraction stick pattern is simulated, not measured: it uses DFT lattice parameters and positions (PBE) and Cu Kα.
Kinematic intensities with the Lorentz-polarization factor, no thermal factor.

Structure:
```
MgTe2Mo4Se4S2
1.0
3.337 0.000 0.000
1.669 2.890 0.000
0.000 0.000 38.031
Mg Te Mo Se S
1 2 4 4 2
Cartesian
0.000 0.000 0.000
3.604 2.109 6.626
3.604 2.109 10.423
0.267 0.182 8.522
0.267 0.182 22.815
3.604 2.109 15.671
3.604 2.109 29.961
0.266 0.182 28.290
0.266 0.182 31.629
3.604 2.109 21.144
3.604 2.109 24.483
0.266 0.182 14.151
0.266 0.182 17.189
```

Top 12 peaks for 2θ from 15° to 90°, sorted by position:
2θ (°), I_rel
30.96, 57
33.16, 14
36.38, 100
39.15, 21
40.69, 11
44.04, 58
45.84, 17
55.04, 34
56.46, 11
67.78, 15
73.03, 13
77.84, 15

---

6.
Diffraction record for MgTe2Mo3WSe4S2. The X-ray diffraction stick pattern is simulated, not measured: it uses DFT lattice parameters and positions (PBE) and Cu Kα.
Kinematic intensities with the Lorentz-polarization factor, no thermal factor.

Structure:
```
MgTe2Mo3WSe4S2
1.0
3.338 0.000 0.000
1.669 2.891 0.000
0.000 0.000 38.114
Mg Te Mo W Se S
1 2 3 1 4 2
Cartesian
0.000 0.000 0.000
1.864 2.734 6.658
1.865 2.734 10.475
1.864 2.734 15.731
1.864 2.734 30.051
1.865 0.807 22.889
1.865 0.807 8.564
1.864 0.807 14.061
1.864 0.807 17.401
1.864 0.807 28.379
1.864 0.807 31.719
1.865 2.734 21.371
1.865 2.734 24.406
```

Top 12 peaks for 2θ from 15° to 90°, sorted by position:
2θ (°), I_rel
30.95, 52
33.15, 18
34.08, 14
36.35, 100
37.71, 13
39.11, 24
43.99, 57
45.78, 18
55.03, 36
56.44, 13
67.76, 16
77.74, 16

---

7.
Diffraction record for MgTe2MoW2Se2S2. The X-ray diffraction stick pattern is simulated, not measured: it uses DFT lattice parameters and positions (PBE) and Cu Kα.
Kinematic intensities with the Lorentz-polarization factor, no thermal factor.

Structure:
```
MgTe2MoW2Se2S2
1.0
3.335 0.000 0.000
1.668 2.889 0.000
0.000 0.001 30.971
Mg Te Mo W Se S
1 2 1 2 2 2
Cartesian
0.000 0.000 0.000
1.821 2.854 20.428
1.821 2.854 24.219
1.821 0.928 22.325
1.821 2.854 15.158
1.821 0.928 7.993
1.821 2.853 6.318
1.821 2.853 9.670
1.821 0.928 13.635
1.821 0.928 16.681
```

Top 12 peaks for 2θ from 15° to 90°, sorted by position:
2θ (°), I_rel
30.96, 70
31.10, 24
31.51, 17
33.10, 28
35.62, 100
37.17, 98
40.78, 25
42.81, 41
44.96, 71
55.08, 52
56.44, 25
77.61, 23

---

8.
Diffraction record for MgTe4Mo3WSe2S2. The X-ray diffraction stick pattern is simulated, not measured: it uses DFT lattice parameters and positions (PBE) and Cu Kα.
Kinematic intensities with the Lorentz-polarization factor, no thermal factor.

Structure:
```
MgTe4Mo3WSe2S2
1.0
2.945 -1.701 0.000
2.945 1.701 0.000
-0.026 0.000 45.520
Mg Te Mo W Se S
1 4 3 1 2 2
Cartesian
0.000 0.000 0.000
3.925 0.000 3.271
3.925 0.000 7.046
3.909 0.000 31.397
3.909 0.000 35.144
1.945 0.000 33.270
3.914 0.000 24.714
3.906 0.000 41.501
1.962 0.000 5.165
1.951 0.000 23.066
1.950 0.000 26.362
1.942 0.000 40.014
1.942 0.000 43.022
```

Top 12 peaks for 2θ from 15° to 90°, sorted by position:
2θ (°), I_rel
30.36, 50
31.94, 25
34.28, 70
36.33, 24
37.48, 30
40.00, 100
41.36, 15
42.78, 16
53.92, 38
54.93, 17
69.21, 19
78.41, 15

---

9.
Diffraction record for MgTe2MoW2Se2S2. The X-ray diffraction stick pattern is simulated, not measured: it uses DFT lattice parameters and positions (PBE) and Cu Kα.
Kinematic intensities with the Lorentz-polarization factor, no thermal factor.

Structure:
```
MgTe2MoW2Se2S2
1.0
2.904 -1.676 0.000
2.904 1.676 0.000
-0.178 0.000 36.623
Mg Te Mo W Se S
1 2 1 2 2 2
Cartesian
0.000 0.000 0.000
-0.063 0.000 14.691
5.744 0.000 10.886
5.776 0.000 4.620
3.809 0.000 12.788
3.715 0.000 32.303
3.840 0.000 2.946
3.842 0.000 6.284
-0.156 0.000 33.815
5.651 0.000 30.796
```

Top 12 peaks for 2θ from 15° to 90°, sorted by position:
2θ (°), I_rel
30.81, 100
32.34, 68
34.18, 72
35.30, 47
35.40, 61
39.55, 46
39.69, 34
41.18, 71
41.32, 73
54.77, 76
55.01, 24
55.74, 37

---

10.
Diffraction record for MgTe2Mo3WSe4S2. The X-ray diffraction stick pattern is simulated, not measured: it uses DFT lattice parameters and positions (PBE) and Cu Kα.
Kinematic intensities with the Lorentz-polarization factor, no thermal factor.

Structure:
```
MgTe2Mo3WSe4S2
1.0
2.896 -1.672 0.000
2.896 1.672 0.000
-0.031 0.000 44.141
Mg Te Mo W Se S
1 2 3 1 4 2
Cartesian
0.000 0.000 0.000
3.853 0.000 10.961
3.853 0.000 14.754
1.922 0.000 12.858
1.904 0.000 40.153
3.860 0.000 4.787
3.841 0.000 32.094
1.929 0.000 3.107
1.929 0.000 6.450
1.911 0.000 30.420
1.911 0.000 33.769
3.835 0.000 38.653
3.835 0.000 41.705
```

Top 12 peaks for 2θ from 15° to 90°, sorted by position:
2θ (°), I_rel
30.89, 49
31.15, 25
32.54, 31
34.99, 83
37.13, 42
40.96, 100
42.38, 21
43.86, 25
48.65, 15
54.92, 39
55.97, 19
70.73, 20

---

11.
Diffraction record for MgTe2Mo3WSe4S2. The X-ray diffraction stick pattern is simulated, not measured: it uses DFT lattice parameters and positions (PBE) and Cu Kα.
Kinematic intensities with the Lorentz-polarization factor, no thermal factor.

Structure:
```
MgTe2Mo3WSe4S2
1.0
3.338 0.000 0.000
-1.668 2.891 0.000
0.000 0.000 38.068
Mg Te Mo W Se S
1 2 3 1 4 2
Cartesian
0.000 0.000 0.000
3.264 0.083 6.697
3.264 0.083 10.495
1.596 1.047 8.594
1.596 1.047 22.902
3.264 0.083 15.753
3.264 0.083 30.054
1.596 1.047 14.082
1.596 1.047 17.421
1.595 1.047 28.375
1.595 1.047 31.730
3.264 0.083 21.381
3.264 0.083 24.420
```

Top 12 peaks for 2θ from 15° to 90°, sorted by position:
2θ (°), I_rel
30.95, 51
31.30, 14
33.15, 18
34.08, 15
36.37, 100
39.13, 26
44.02, 56
45.82, 19
55.03, 34
56.45, 13
67.76, 16
77.79, 16

---

12.
Diffraction record for MgTe4Mo3WSe2S2. The X-ray diffraction stick pattern is simulated, not measured: it uses DFT lattice parameters and positions (PBE) and Cu Kα.
Kinematic intensities with the Lorentz-polarization factor, no thermal factor.

Structure:
```
MgTe4Mo3WSe2S2
1.0
2.965 -1.711 0.000
2.965 1.711 0.000
-0.024 0.000 40.054
Mg Te Mo W Se S
1 4 3 1 2 2
Cartesian
0.000 0.000 0.000
1.951 0.000 26.638
1.950 0.000 30.384
3.937 0.000 9.180
3.936 0.000 12.907
1.960 0.000 11.044
1.946 0.000 35.966
3.943 0.000 3.596
3.927 0.000 28.511
3.922 0.000 34.336
3.921 0.000 37.660
1.958 0.000 2.026
1.967 0.000 5.062
```

Top 12 peaks for 2θ from 15° to 90°, sorted by position:
2θ (°), I_rel
30.16, 50
30.49, 18
32.20, 20
35.19, 100
37.76, 34
42.31, 69
43.99, 18
53.55, 37
65.71, 16
70.51, 15
74.49, 18
89.68, 14

---

13.
Diffraction record for MgTe4Mo3WSe2S2. The X-ray diffraction stick pattern is simulated, not measured: it uses DFT lattice parameters and positions (PBE) and Cu Kα.
Kinematic intensities with the Lorentz-polarization factor, no thermal factor.

Structure:
```
MgTe4Mo3WSe2S2
1.0
3.396 0.000 0.000
-1.698 2.941 0.000
-0.021 -0.626 44.535
Mg Te Mo W Se S
1 4 3 1 2 2
Cartesian
0.000 0.000 0.000
-0.003 -0.121 10.545
-0.003 -0.123 14.293
1.687 0.582 29.985
1.687 0.581 33.731
-0.011 -0.399 31.859
1.695 0.859 12.420
1.682 0.471 40.021
0.000 -0.047 4.404
-0.015 -0.508 38.375
-0.015 -0.509 41.676
1.698 0.933 2.899
1.698 0.934 5.900
```

Top 12 peaks for 2θ from 15° to 90°, sorted by position:
2θ (°), I_rel
17.93, 22
30.42, 100
31.96, 16
34.28, 19
34.39, 27
34.60, 40
36.50, 19
40.13, 18
40.28, 46
40.57, 34
40.72, 23
54.01, 51